No. 1
Diffraction record for CsCuAu2S2. The powder XRD pattern is computed, not measured: it uses a PBE-relaxed structure and Cu Kα.

Structure:
```
data_CsCuAu2S2
_space_group_name_H-M_alt 'P 1'
_space_group_IT_number 1
_space_group_name_Hall 'P 1'
_cell_length_a 9.8245
_cell_length_b 6.4136
_cell_length_c 5.6660
_cell_angle_alpha 90.00
_cell_angle_beta 90.51
_cell_angle_gamma 90.00
loop_
_atom_site_label
_atom_site_fract_x
_atom_site_fract_y
_atom_site_fract_z
Cs1 0.0000 0.0000 0.0000
Cs2 0.5000 0.5000 0.0000
Cu1 0.0000 0.5000 0.5000
Cu2 0.5000 0.0000 0.5000
Au1 0.2500 0.2500 0.5000
Au2 0.2500 0.7500 0.5000
Au3 0.7500 0.2500 0.5000
Au4 0.7500 0.7500 0.5000
S1 0.1601 0.5000 0.2373
S2 0.3399 0.0000 0.7627
S3 0.6601 0.0000 0.2373
S4 0.8399 0.5000 0.7627
```

Peak list (8 most intense, 2θ = 5–70°, in order of rising 2θ)
two_theta, I (rel.)
15.6, 1000
22.9, 535
23.9, 960
24.1, 532
31.6, 500
32.1, 731
33.4, 995
46.5, 561

---

No. 2
Diffraction record for Mg2CdSb. The powder XRD pattern is computed, not measured: it uses a PBE-relaxed structure and Cu Kα.

Structure:
```
data_Mg2CdSb
_space_group_name_H-M_alt 'P 1'
_space_group_IT_number 1
_space_group_name_Hall 'P 1'
_cell_length_a 7.2813
_cell_length_b 7.2813
_cell_length_c 7.2813
_cell_angle_alpha 90.00
_cell_angle_beta 90.00
_cell_angle_gamma 90.00
loop_
_atom_site_label
_atom_site_fract_x
_atom_site_fract_y
_atom_site_fract_z
Mg1 0.0000 0.0000 0.0000
Mg2 0.0000 0.5000 0.5000
Mg3 0.2500 0.2500 0.2500
Mg4 0.2500 0.7500 0.7500
Mg5 0.5000 0.0000 0.5000
Mg6 0.5000 0.5000 0.0000
Mg7 0.7500 0.2500 0.7500
Mg8 0.7500 0.7500 0.2500
Cd1 0.2500 0.2500 0.7500
Cd2 0.2500 0.7500 0.2500
Cd3 0.7500 0.2500 0.2500
Cd4 0.7500 0.7500 0.7500
Sb1 0.0000 0.0000 0.5000
Sb2 0.0000 0.5000 0.0000
Sb3 0.5000 0.0000 0.0000
Sb4 0.5000 0.5000 0.5000
```

Peak list (7 most intense, 2θ = 5–70°, in order of rising 2θ)
two_theta, I (rel.)
21.1, 485
34.9, 1000
41.1, 259
50.1, 173
55.0, 108
62.5, 348
66.8, 79

---

No. 3
Diffraction record for K4BiAsAu2. The powder XRD pattern is computed, not measured: it uses a PBE-relaxed structure and Cu Kα.

Structure:
```
data_K4BiAsAu2
_space_group_name_H-M_alt 'P 1'
_space_group_IT_number 1
_space_group_name_Hall 'P 1'
_cell_length_a 6.6202
_cell_length_b 10.4460
_cell_length_c 7.8212
_cell_angle_alpha 90.00
_cell_angle_beta 90.00
_cell_angle_gamma 90.00
loop_
_atom_site_label
_atom_site_fract_x
_atom_site_fract_y
_atom_site_fract_z
K1 0.0000 0.1676 0.0000
K2 0.0000 0.3324 0.5000
K3 0.0000 0.6676 0.5000
K4 0.0000 0.8324 0.0000
K5 0.5000 0.1791 0.6787
K6 0.5000 0.3209 0.1787
K7 0.5000 0.6791 0.1787
K8 0.5000 0.8209 0.6787
Bi1 0.0000 0.0000 0.5928
Bi2 0.0000 0.5000 0.0928
As1 0.5000 0.0000 0.0597
As2 0.5000 0.5000 0.5597
Au1 0.2656 0.0000 0.3162
Au2 0.2656 0.5000 0.8162
Au3 0.7344 0.0000 0.3162
Au4 0.7344 0.5000 0.8162
```

Peak list (8 most intense, 2θ = 5–70°, in order of rising 2θ)
two_theta, I (rel.)
14.1, 982
17.0, 1000
19.5, 434
30.5, 679
31.2, 511
35.5, 867
39.6, 583
50.3, 434

---

No. 4
Diffraction record for DyY2Tm2Lu2Co2Te2. The powder XRD pattern is computed, not measured: it uses a PBE-relaxed structure and Cu Kα.

Structure:
```
data_DyY2Tm2Lu2Co2Te2
_space_group_name_H-M_alt 'P 1'
_space_group_IT_number 1
_space_group_name_Hall 'P 1'
_cell_length_a 9.2517
_cell_length_b 9.2517
_cell_length_c 9.2517
_cell_angle_alpha 156.11
_cell_angle_beta 66.18
_cell_angle_gamma 119.31
loop_
_atom_site_label
_atom_site_fract_x
_atom_site_fract_y
_atom_site_fract_z
Dy1 0.0000 0.0000 0.0000
Y1 0.6168 0.2663 0.3505
Y2 0.9158 0.2663 0.6495
Tm1 0.2814 0.4165 0.8649
Tm2 0.5516 0.4165 0.1351
Lu1 0.3083 0.6233 0.6850
Lu2 0.9383 0.6233 0.3150
Co1 0.1730 0.9334 0.2396
Co2 0.6938 0.9334 0.7604
Te1 0.2669 0.7669 0.5000
Te2 0.6607 0.6607 0.0000
```

Peak list (8 most intense, 2θ = 5–70°, in order of rising 2θ)
two_theta, I (rel.)
30.4, 273
30.7, 505
33.6, 841
34.3, 1000
34.7, 273
34.9, 753
47.5, 361
59.4, 374